This entry pairs a crystal structure of CsAsPb2Cl8 with its theoretical X-ray powder pattern. Radiation: copper Kα. Structure: a GGA-PBE-relaxed structure.
Peak positions follow from Bragg's law for the DFT cell and can differ from measured ones.

Cell and atoms:
```
12
Lattice="6.7653 0.0000 0.0000 1.0109 6.8118 0.0000 1.1553 1.9718 8.9156" Properties=species:S:1:pos:R:3 pbc="T T T"
Cs 0.0000 0.0000 0.0000
As 0.5777 0.9859 4.4578
Pb 3.9283 3.5214 2.2362
Pb 5.0032 5.2623 6.6794
Cl 2.3868 6.3763 6.4386
Cl 2.6985 6.1598 2.9030
Cl 2.6645 2.3728 4.5652
Cl 3.0386 1.8830 0.2265
Cl 5.8929 6.9006 8.6891
Cl 6.2670 6.4109 4.3504
Cl 6.2330 2.6239 6.0126
Cl 6.5447 2.4074 2.4769
```

The 10 most intense peaks (10 to 80 degrees two-theta), low angle first:
(hkl)	2theta	I/Imax
1 0 0	13.3	31.5
1 1 0	17.7	100.0
1 -1 0	20.0	90.7
0 1 2	21.5	56.0
1 0 2	22.9	41.3
1 0 -2	25.1	28.6
0 1 -2	26.4	52.9
2 0 0	26.8	34.3
-1 2 2	34.9	30.0
1 -2 2	40.0	32.3